Diffraction record for RbW3O9. The powder X-ray diffraction pattern is calculated, not measured: it uses a PBE+U-relaxed structure and Cu Kα X-rays.
No peak broadening, texture or thermal motion is included.

```
RbW3O9
1.0
5.9910 0.0000 0.0000
0.0000 7.7891 0.0000
-0.0245 0.0000 8.2300
Rb W O
2 6 18
direct
0.0018 0.2500 0.4106
0.9982 0.7500 0.5894
0.0000 0.0000 0.0000
0.0000 0.5000 0.0000
0.4985 0.0014 0.6941
0.4985 0.4986 0.6941
0.5015 0.5014 0.3059
0.5015 0.9986 0.3059
0.0027 0.2500 0.9989
0.2448 0.5031 0.8306
0.2448 0.9969 0.8306
0.2495 0.9999 0.1669
0.2495 0.5001 0.1669
0.2984 0.5019 0.4988
0.2984 0.9981 0.4988
0.4948 0.2500 0.6946
0.4987 0.2500 0.3074
0.5013 0.7500 0.6926
0.5052 0.7500 0.3054
0.7016 0.0019 0.5012
0.7016 0.4981 0.5012
0.7505 0.0001 0.8331
0.7505 0.4999 0.8331
0.7552 0.0031 0.1694
0.7552 0.4969 0.1694
0.9973 0.7500 0.0011
```

Most intense lines, 2θ = 10–80°, by angle:
- 2θ 18.32, d = 4.843 Å, I = 64, (1 0 1)
- 2θ 22.83, d = 3.895 Å, I = 65, (0 2 0)
- 2θ 26.27, d = 3.392 Å, I = 100, (1 0 -2)
- 2θ 29.43, d = 3.035 Å, I = 70, (1 2 1)
- 2θ 29.83, d = 2.996 Å, I = 44, (2 0 0)
- 2θ 35.08, d = 2.558 Å, I = 46, (1 2 -2)
- 2θ 46.64, d = 1.947 Å, I = 23, (0 4 0)
- 2θ 50.78, d = 1.798 Å, I = 27, (3 0 -2)
- 2θ 50.91, d = 1.794 Å, I = 26, (3 0 2)
- 2θ 54.32, d = 1.689 Å, I = 27, (1 4 -2)
- 2θ 56.35, d = 1.633 Å, I = 23, (2 4 0)
- 2θ 58.11, d = 1.587 Å, I = 26, (1 0 -5)